[1]
Structure and simulated powder XRD pattern of Li2CoNi3O8 (DFT lattice parameters and positions (GGA+U); Cu Kα (weighted mean of Kα1 and Kα2)).

Cell and atoms:
```
14
Lattice="2.8601 1.6513 4.6287 -2.8601 1.6513 4.6287 0.0000 -3.3026 4.6287" Properties=species:S:1:pos:R:3 pbc="T T T"
Li 0.0000 0.0000 1.7288
Li 0.0000 0.0000 12.1572
Co 0.0000 0.0000 6.9430
Ni -1.4301 -0.8256 4.6287
Ni -1.4301 0.8256 9.2573
Ni 0.0000 1.6513 4.6287
O 0.0000 0.0000 3.6457
O 0.0000 -1.4714 5.7371
O -1.2743 0.7357 5.7371
O -1.2743 -0.7357 8.1489
O 1.2743 0.7357 5.7371
O 1.2743 -0.7357 8.1489
O 0.0000 1.4714 8.1489
O 0.0000 0.0000 10.2403
```

Peak list (6 most intense, 5 to 70 degrees two-theta, by intensity)
2θ/deg, I_rel
19.02, 100
44.96, 70
36.91, 49
19.17, 34
65.24, 21
65.69, 21

=====

[2]
Structure and simulated powder XRD pattern of Na2MgV2O4F4 (DFT lattice parameters and positions (GGA+U); Cu Kα (weighted mean of Kα1 and Kα2)).

Cell and atoms:
```
13
Lattice="6.7513 0.0000 0.0000 0.0000 3.8796 0.0000 -3.1765 0.0000 6.3235" Properties=species:S:1:pos:R:3 pbc="T T T"
Na 0.0000 0.0000 0.0000
Na -0.7359 1.9398 2.4182
Mg 2.2071 1.9398 4.3007
V -0.1752 1.9398 6.1439
V 2.8935 0.0000 2.1863
O 0.2228 1.9398 4.4933
O 2.9608 0.0000 0.2635
O 2.8742 1.9398 1.9796
O 2.7336 0.0000 4.0139
F -2.0953 1.9398 5.8602
F 0.8894 0.0000 2.0450
F 1.9863 1.9398 6.3185
F 4.8364 0.0000 2.3104
```

Peak list (6 most intense, 5 to 70 degrees two-theta, by intensity)
2θ/deg, I_rel
14.68, 100
26.96, 83
46.83, 61
42.91, 58
26.42, 57
27.55, 53